(1)
Pr3Nd6Tm: simulated PXRD pattern (λ = 1.5418 Å (Cu Kα)), based on a DFT-relaxed cell (PBE, Alexandria).
Peak positions follow from Bragg's law for the DFT cell and can differ from measured ones.

Atomic structure:
```
data_Pr3Nd6Tm
_cell_length_a 11.073
_cell_length_b 19.459
_cell_length_c 6.545
_cell_angle_alpha 90.00
_cell_angle_beta 90.00
_cell_angle_gamma 90.00
_space_group_name_H-M_alt 'C m c 21'
_space_group_IT_number 36
_space_group_name_Hall 'C 2c -2'
loop_
_atom_site_label
_atom_site_fract_x
_atom_site_fract_y
_atom_site_fract_z
_atom_site_occupancy
Pr1 0.000 0.115 0.000 1
Pr2 0.174 0.384 0.385 1
Nd1 0.000 0.223 0.573 1
Nd2 0.000 0.465 0.787 1
Nd3 0.171 0.043 0.479 1
Nd4 0.233 0.209 0.288 1
Tm1 0.000 0.308 0.035 1
```

Largest 10 diffraction maxima, in order of rising 2θ, 10° ≤ 2θ ≤ 90°:
d (Å)	intensity	hkl
3.205	40	3 3 0
3.191	57	2 4 1
3.172	43	3 1 1
3.099	27	1 1 2
2.906	100	0 6 1
2.881	51	3 3 1
2.819	32	2 0 2
2.706	67	2 2 2
2.678	27	3 5 0
1.558	28	6 6 1

(2)
MgAsW: simulated PXRD pattern (λ = 1.5418 Å (Cu Kα)), based on a DFT-relaxed cell (PBE, Alexandria).
Peak positions follow from Bragg's law for the DFT cell and can differ from measured ones.

Atomic structure:
```
data_MgAsW
_cell_length_a 3.263
_cell_length_b 3.263
_cell_length_c 9.671
_cell_angle_alpha 90.00
_cell_angle_beta 90.00
_cell_angle_gamma 90.00
_space_group_name_H-M_alt 'I 4 m m'
_space_group_IT_number 107
_space_group_name_Hall 'I 4 -2'
loop_
_atom_site_label
_atom_site_fract_x
_atom_site_fract_y
_atom_site_fract_z
_atom_site_occupancy
Mg1 0.000 0.000 0.000 1
As1 0.000 0.000 0.689 1
W1 0.000 0.000 0.309 1
```

Largest 10 diffraction maxima, in order of rising 2θ, 10° ≤ 2θ ≤ 90°:
d (Å)	intensity	hkl
4.835	76	0 0 2
3.091	46	1 0 1
2.307	59	1 1 0
2.293	100	1 0 3
2.082	34	1 1 2
1.664	27	1 0 5
1.631	20	2 0 0
1.546	13	2 0 2
1.329	35	2 1 3
1.165	17	2 1 5

(3)
Pm2OsC4: simulated PXRD pattern (λ = 1.5418 Å (Cu Kα)), based on a DFT-relaxed cell (PBE, Alexandria).
Peak positions follow from Bragg's law for the DFT cell and can differ from measured ones.

Atomic structure:
```
data_Pm2OsC4
_cell_length_a 7.879
_cell_length_b 9.773
_cell_length_c 5.419
_cell_angle_alpha 90.00
_cell_angle_beta 90.00
_cell_angle_gamma 90.00
_space_group_name_H-M_alt 'I b a m'
_space_group_IT_number 72
_space_group_name_Hall '-I 2 2c'
loop_
_atom_site_label
_atom_site_fract_x
_atom_site_fract_y
_atom_site_fract_z
_atom_site_occupancy
Pm1 0.146 0.151 0.000 1
Os1 0.000 0.500 0.250 1
C1 0.165 0.125 0.500 1
C2 0.173 0.427 0.000 1
```

Largest 10 diffraction maxima, in order of rising 2θ, 10° ≤ 2θ ≤ 90°:
d (Å)	intensity	hkl
6.134	28	1 1 0
3.296	64	1 2 1
3.067	32	2 2 0
3.029	77	2 1 1
3.010	100	1 3 0
2.536	54	3 1 0
2.478	73	1 1 2
2.370	28	0 2 2
1.814	34	0 4 2
1.632	53	3 3 2

(4)
Ce2Zr3Si4: simulated PXRD pattern (λ = 1.5418 Å (Cu Kα)), based on a DFT-relaxed cell (PBE, Alexandria).
Peak positions follow from Bragg's law for the DFT cell and can differ from measured ones.

Atomic structure:
```
data_Ce2Zr3Si4
_cell_length_a 7.372
_cell_length_b 7.380
_cell_length_c 7.188
_cell_angle_alpha 90.00
_cell_angle_beta 108.40
_cell_angle_gamma 90.00
_space_group_name_H-M_alt 'P 1 21/c 1'
_space_group_IT_number 14
_space_group_name_Hall '-P 2ybc'
loop_
_atom_site_label
_atom_site_fract_x
_atom_site_fract_y
_atom_site_fract_z
_atom_site_occupancy
Ce1 0.189 0.169 0.073 1
Zr1 0.251 0.677 0.250 1
Zr2 0.500 0.000 0.500 1
Si1 0.084 0.533 0.872 1
Si2 0.492 0.124 0.872 1
```

Largest 10 diffraction maxima, in order of rising 2θ, 10° ≤ 2θ ≤ 90°:
d (Å)	intensity	hkl
3.245	46	0 2 1
2.788	50	1 2 1
2.741	61	2 1 -2
2.599	35	2 1 1
2.580	100	2 2 -1
2.571	98	1 1 2
2.553	37	1 2 -2
2.538	60	2 2 0
2.314	64	0 3 1
2.279	58	1 1 -3

(5)
Ba2Na2PuO6: simulated PXRD pattern (λ = 1.5418 Å (Cu Kα)), based on a DFT-relaxed cell (PBE, Alexandria).
Peak positions follow from Bragg's law for the DFT cell and can differ from measured ones.

Atomic structure:
```
data_Ba2Na2PuO6
_cell_length_a 6.4561
_cell_length_b 6.4561
_cell_length_c 16.3934
_cell_angle_alpha 90.00
_cell_angle_beta 90.00
_cell_angle_gamma 120.00
_space_group_name_H-M_alt 'R -3 m'
_space_group_IT_number 166
_space_group_name_Hall '-R 3 2"'
loop_
_atom_site_label
_atom_site_fract_x
_atom_site_fract_y
_atom_site_fract_z
_atom_site_occupancy
Ba1 0.0000 0.0000 0.2128 1
Na1 0.0000 0.0000 0.4187 1
Pu1 0.0000 0.0000 0.0000 1
O1 0.0474 0.5237 0.7480 1
```

Largest 10 diffraction maxima, in order of rising 2θ, 10° ≤ 2θ ≤ 90°:
d (Å)	intensity	hkl
5.292	90	1 0 1
3.305	43	1 0 4
3.228	100	1 1 0
2.828	65	0 1 5
2.309	31	0 2 4
2.127	31	2 0 5
1.878	19	2 1 4
1.864	20	3 0 0
1.776	41	1 2 5
1.586	21	1 1 9

(6)
Pm5Pr3Se8: simulated PXRD pattern (λ = 1.5418 Å (Cu Kα)), based on a DFT-relaxed cell (PBE, Alexandria).
Peak positions follow from Bragg's law for the DFT cell and can differ from measured ones.

Atomic structure:
```
data_Pm5Pr3Se8
_cell_length_a 8.4428
_cell_length_b 8.4428
_cell_length_c 20.7276
_cell_angle_alpha 90.00
_cell_angle_beta 90.00
_cell_angle_gamma 120.00
_space_group_name_H-M_alt 'R -3 m'
_space_group_IT_number 166
_space_group_name_Hall '-R 3 2"'
loop_
_atom_site_label
_atom_site_fract_x
_atom_site_fract_y
_atom_site_fract_z
_atom_site_occupancy
Pm1 0.0000 0.0000 0.0000 1
Pm2 0.0000 0.0000 0.5000 1
Pm3 0.0000 0.5000 0.0000 1
Pr1 0.0000 0.5000 0.5000 1
Se1 0.0000 0.0000 0.2521 1
Se2 0.0028 0.5014 0.2514 1
```

Largest 10 diffraction maxima, in order of rising 2θ, 10° ≤ 2θ ≤ 90°:
d (Å)	intensity	hkl
3.449	16	0 0 6
2.987	100	0 2 4
2.112	75	2 2 0
1.801	8	0 2 10
1.727	7	0 0 12
1.724	20	4 0 4
1.494	12	0 4 8
1.336	34	2 4 4
1.221	6	0 2 16
1.219	19	6 0 0

(7)
HoTh11: simulated PXRD pattern (λ = 1.5418 Å (Cu Kα)), based on a DFT-relaxed cell (PBE, Alexandria).
Peak positions follow from Bragg's law for the DFT cell and can differ from measured ones.

Atomic structure:
```
data_HoTh11
_cell_length_a 11.3781
_cell_length_b 11.3781
_cell_length_c 3.4886
_cell_angle_alpha 90.00
_cell_angle_beta 90.00
_cell_angle_gamma 120.00
_space_group_name_H-M_alt 'P 6/m m m'
_space_group_IT_number 191
_space_group_name_Hall '-P 6 2'
loop_
_atom_site_label
_atom_site_fract_x
_atom_site_fract_y
_atom_site_fract_z
_atom_site_occupancy
Ho1 0.0000 0.0000 0.0000 1
Th1 0.0000 0.5000 0.0000 1
Th2 0.1711 0.3423 0.5000 1
Th3 0.3333 0.6667 0.0000 1
```

Largest 10 diffraction maxima, in order of rising 2θ, 10° ≤ 2θ ≤ 90°:
d (Å)	intensity	hkl
2.974	15	1 1 1
2.845	100	2 2 0
2.546	10	2 1 1
2.391	9	3 0 1
2.012	12	4 0 1
1.643	26	6 0 0
1.487	20	2 2 2
1.422	8	4 4 0
1.196	10	6 0 2
1.102	8	4 4 2

Question: Number 4 is which compound?
Answer: Ce2Zr3Si4

Question: Which formula does entry 2 have?
Answer: MgAsW